This entry pairs a crystal structure of Tl3Fe2S4 with its calculated X-ray powder pattern. Radiation: Cu Kα, 1.54184 Å. Structure: a DFT-relaxed cell (PBE, OQMD).

Largest 10 diffraction maxima, by angle, 2θ = 10–90°:
2θ/deg, I_rel, (hkl)
24.04, 59, 2 0 0
25.09, 38, 0 1 3
25.48, 29, 2 1 0
26.39, 83, 0 3 1
26.56, 78, 1 0 3
30.49, 67, 2 2 1
32.21, 100, 1 3 2
33.96, 28, 2 0 3
36.01, 79, 0 2 4
42.72, 38, 1 3 4

```
Tl3Fe2S4
1.0
7.4035 0.0000 0.0000
0.0000 10.6166 0.0000
0.0000 0.0000 11.2957
Tl Fe S
12 8 16
Cartesian
0.3510 0.8020 1.5642
0.3510 4.5063 1.5642
0.6797 2.6542 8.7448
3.0220 7.9625 3.0969
3.3507 6.1103 7.2121
3.3507 9.8146 7.2121
4.0527 0.8020 4.0836
4.0527 4.5063 4.0836
4.3814 2.6542 8.1988
6.7238 7.9625 2.5509
7.0525 6.1103 9.7314
7.0525 9.8146 9.7314
0.2645 1.3500 5.2863
0.2645 3.9583 5.2863
3.4373 6.6583 10.9342
3.4373 9.2666 10.9342
3.9662 1.3500 0.3615
3.9662 3.9583 0.3615
7.1390 6.6583 6.0094
7.1390 9.2666 6.0094
0.8483 7.9625 7.5200
1.0018 5.8570 4.3110
1.0018 10.0679 4.3110
1.7013 7.9625 0.3068
2.0004 2.6542 5.9547
2.7000 0.5487 9.9588
2.7000 4.7596 9.9588
2.8534 2.6542 1.8722
4.5500 7.9625 9.4235
4.7035 5.8570 1.3368
4.7035 10.0679 1.3368
5.4031 7.9625 5.3410
5.7021 2.6542 10.9889
6.4017 0.5487 6.9847
6.4017 4.7596 6.9847
6.5552 2.6542 3.7756
```